1.
# Rb3In4Ag4
Calculated powder X-ray diffraction pattern, copper Kα. Input: DFT lattice parameters and positions (PBE).
No peak broadening, texture or thermal motion is included.

Cell and atoms:
Lattice parameters (Å, degrees): 7.7235 7.7235 7.7235 109.47 109.47 109.47
Sites, in units of the cell vectors:
Rb (0.0000, 0.5000, 0.5000)
Rb (0.5000, 0.0000, 0.5000)
Rb (0.5000, 0.5000, 0.0000)
In (0.0000, 0.0000, 0.2612)
In (0.0000, 0.2612, 0.0000)
In (0.2612, 0.0000, 0.0000)
In (0.7388, 0.7388, 0.7388)
Ag (0.0000, 0.0000, 0.6234)
Ag (0.0000, 0.6234, 0.0000)
Ag (0.3766, 0.3766, 0.3766)
Ag (0.6234, 0.0000, 0.0000)

The 6 most intense peaks (2θ = 15–90°), in order of falling intensity:
two_theta	intensity
31.73	100.0
28.30	67.9
43.03	66.6
37.74	57.1
64.40	25.1
69.97	21.9

2.
# RbIn2Ag4
Calculated powder X-ray diffraction pattern, copper Kα. Input: DFT lattice parameters and positions (PBE).
No peak broadening, texture or thermal motion is included.

Cell and atoms:
Lattice parameters (Å, degrees): 7.6697 7.6697 7.6697 108.25 108.25 111.95
Sites, in units of the cell vectors:
Rb (0.2500, 0.2500, 0.0000)
Rb (0.7500, 0.7500, 0.0000)
In (0.1514, 0.6514, 0.8027)
In (0.3486, 0.1514, 0.5000)
In (0.6514, 0.8486, 0.5000)
In (0.8486, 0.3486, 0.1973)
Ag (0.0192, 0.8107, 0.5000)
Ag (0.1893, 0.6893, 0.2085)
Ag (0.3107, 0.5192, 0.5000)
Ag (0.4808, 0.9808, 0.7915)
Ag (0.5192, 0.0192, 0.2085)
Ag (0.6893, 0.4808, 0.5000)
Ag (0.8107, 0.3107, 0.7915)
Ag (0.9808, 0.1893, 0.5000)

The 6 most intense peaks (2θ = 15–90°), in order of falling intensity:
two_theta	intensity
38.62	100.0
31.47	70.7
64.64	31.7
40.12	19.4
42.67	17.8
52.79	12.3

3.
# RbIn7Ag12
Calculated powder X-ray diffraction pattern, copper Kα. Input: DFT lattice parameters and positions (PBE).
No peak broadening, texture or thermal motion is included.

Cell and atoms:
Lattice parameters (Å, degrees): 8.7173 8.7173 8.7173 112.26 112.26 112.26
Sites, in units of the cell vectors:
Rb (0.0000, 0.0000, 0.0000)
In (0.2040, 0.2040, 0.5511)
In (0.2040, 0.5511, 0.2040)
In (0.4489, 0.7960, 0.7960)
In (0.5000, 0.5000, 0.5000)
In (0.5511, 0.2040, 0.2040)
In (0.7960, 0.4489, 0.7960)
In (0.7960, 0.7960, 0.4489)
Ag (0.0000, 0.2710, 0.7290)
Ag (0.0000, 0.7290, 0.2710)
Ag (0.0465, 0.3882, 0.3882)
Ag (0.2710, 0.0000, 0.7290)
Ag (0.2710, 0.7290, 0.0000)
Ag (0.3882, 0.0465, 0.3882)
Ag (0.3882, 0.3882, 0.0465)
Ag (0.6118, 0.6118, 0.9535)
Ag (0.6118, 0.9535, 0.6118)
Ag (0.7290, 0.0000, 0.2710)
Ag (0.7290, 0.2710, 0.0000)
Ag (0.9535, 0.6118, 0.6118)

The 6 most intense peaks (2θ = 15–90°), in order of falling intensity:
two_theta	intensity
37.27	100.0
37.54	66.4
30.57	50.1
39.62	38.6
36.26	38.2
33.41	36.1

4.
# RbIn6Ag3
Calculated powder X-ray diffraction pattern, copper Kα. Input: DFT lattice parameters and positions (PBE).
No peak broadening, texture or thermal motion is included.

Cell and atoms:
Lattice parameters (Å, degrees): 8.1143 7.5113 9.6876 90.00 118.46 90.00
Sites, in units of the cell vectors:
Rb (0.0000, 0.0000, 0.0000)
Rb (0.0000, 0.5000, 0.5000)
In (0.1336, 0.0309, 0.6786)
In (0.1336, 0.4691, 0.1786)
In (0.2843, 0.6757, 0.8780)
In (0.2843, 0.8243, 0.3780)
In (0.4648, 0.1770, 0.2673)
In (0.4648, 0.3230, 0.7673)
In (0.5352, 0.6770, 0.2327)
In (0.5352, 0.8230, 0.7327)
In (0.7157, 0.1757, 0.6220)
In (0.7157, 0.3243, 0.1220)
In (0.8664, 0.5309, 0.8214)
In (0.8664, 0.9691, 0.3214)
Ag (0.2423, 0.1851, 0.4364)
Ag (0.2423, 0.3149, 0.9364)
Ag (0.5000, 0.0000, 0.0000)
Ag (0.5000, 0.5000, 0.5000)
Ag (0.7577, 0.6851, 0.0636)
Ag (0.7577, 0.8149, 0.5636)

The 6 most intense peaks (2θ = 15–90°), in order of falling intensity:
two_theta	intensity
33.74	100.0
37.88	81.6
60.36	25.8
33.27	25.1
37.45	24.1
35.41	17.3

5.
# Rb3In5Ag6
Calculated powder X-ray diffraction pattern, copper Kα. Input: DFT lattice parameters and positions (PBE).
No peak broadening, texture or thermal motion is included.

Cell and atoms:
Lattice parameters (Å, degrees): 4.8172 14.3987 12.2469 90.00 90.00 90.00
Sites, in units of the cell vectors:
Rb (0.2500, 0.0340, 0.2398)
Rb (0.2500, 0.4660, 0.2398)
Rb (0.2500, 0.7500, 0.2800)
Rb (0.7500, 0.2500, 0.7200)
Rb (0.7500, 0.5340, 0.7602)
Rb (0.7500, 0.9660, 0.7602)
In (0.2500, 0.0678, 0.5409)
In (0.2500, 0.4322, 0.5409)
In (0.2500, 0.6453, 0.9701)
In (0.2500, 0.7500, 0.7445)
In (0.2500, 0.8547, 0.9701)
In (0.7500, 0.1453, 0.0299)
In (0.7500, 0.2500, 0.2555)
In (0.7500, 0.3547, 0.0299)
In (0.7500, 0.5678, 0.4591)
In (0.7500, 0.9322, 0.4591)
Ag (0.2500, 0.0531, 0.9643)
Ag (0.2500, 0.2500, 0.4245)
Ag (0.2500, 0.2500, 0.9749)
Ag (0.2500, 0.4469, 0.9643)
Ag (0.2500, 0.6363, 0.5545)
Ag (0.2500, 0.8637, 0.5545)
Ag (0.7500, 0.1363, 0.4455)
Ag (0.7500, 0.3637, 0.4455)
Ag (0.7500, 0.5531, 0.0357)
Ag (0.7500, 0.7500, 0.0251)
Ag (0.7500, 0.7500, 0.5755)
Ag (0.7500, 0.9469, 0.0357)

The 6 most intense peaks (2θ = 15–90°), in order of falling intensity:
two_theta	intensity
39.31	100.0
37.33	75.5
36.35	71.0
28.67	67.1
29.17	46.5
38.24	39.6

6.
# RbTlIn2Ag
Calculated powder X-ray diffraction pattern, copper Kα. Input: DFT lattice parameters and positions (PBE).
No peak broadening, texture or thermal motion is included.

Cell and atoms:
Lattice parameters (Å, degrees): 5.5279 5.5279 5.7501 90.00 90.00 90.00
Sites, in units of the cell vectors:
Rb (0.0000, 0.0000, 0.0000)
Tl (0.5000, 0.5000, 0.0000)
In (0.0000, 0.5000, 0.5000)
In (0.5000, 0.0000, 0.5000)
Ag (0.5000, 0.5000, 0.5000)

The 6 most intense peaks (2θ = 15–90°), in order of falling intensity:
two_theta	intensity
27.59	100.0
32.39	79.9
45.52	61.4
16.03	54.5
31.11	44.5
56.97	31.1

7.
# In2ReAg
Calculated powder X-ray diffraction pattern, copper Kα. Input: DFT lattice parameters and positions (PBE).
No peak broadening, texture or thermal motion is included.

Cell and atoms:
Lattice parameters (Å, degrees): 5.0220 5.0220 3.0352 90.12 90.12 103.79
Sites, in units of the cell vectors:
In (0.0000, 0.5000, 0.0000)
In (0.5000, 0.0000, 0.0000)
Re (0.0000, 0.0000, 0.5000)
Ag (0.5000, 0.5000, 0.5000)

The 6 most intense peaks (2θ = 15–90°), in order of falling intensity:
two_theta	intensity
36.86	100.0
37.36	96.3
41.58	35.6
41.73	35.2
45.93	26.6
63.67	19.6

8.
# Tm4InAgRh2
Calculated powder X-ray diffraction pattern, copper Kα. Input: DFT lattice parameters and positions (PBE).
No peak broadening, texture or thermal motion is included.

Cell and atoms:
Lattice parameters (Å, degrees): 8.6302 8.6302 8.6302 33.41 33.41 33.41
Sites, in units of the cell vectors:
Tm (0.1216, 0.1216, 0.1216)
Tm (0.3723, 0.3723, 0.3723)
Tm (0.6277, 0.6277, 0.6277)
Tm (0.8784, 0.8784, 0.8784)
In (0.5000, 0.5000, 0.5000)
Ag (0.0000, 0.0000, 0.0000)
Rh (0.2487, 0.2487, 0.2487)
Rh (0.7513, 0.7513, 0.7513)

The 6 most intense peaks (2θ = 15–90°), in order of falling intensity:
two_theta	intensity
36.21	100.0
36.09	99.4
65.08	52.9
52.05	34.6
64.82	17.0
87.97	15.9

9.
# In2AgRu2
Calculated powder X-ray diffraction pattern, copper Kα. Input: DFT lattice parameters and positions (PBE).
No peak broadening, texture or thermal motion is included.

Cell and atoms:
Lattice parameters (Å, degrees): 7.1833 7.1833 3.5573 90.00 90.00 90.00
Sites, in units of the cell vectors:
In (0.1704, 0.3296, 0.0000)
In (0.3296, 0.8296, 0.0000)
In (0.6704, 0.1704, 0.0000)
In (0.8296, 0.6704, 0.0000)
Ag (0.0000, 0.0000, 0.5000)
Ag (0.5000, 0.5000, 0.5000)
Ru (0.1285, 0.6285, 0.5000)
Ru (0.3715, 0.1285, 0.5000)
Ru (0.6285, 0.8715, 0.5000)
Ru (0.8715, 0.3715, 0.5000)

The 6 most intense peaks (2θ = 15–90°), in order of falling intensity:
two_theta	intensity
37.73	100.0
39.68	46.1
35.52	30.2
66.80	18.7
51.37	14.8
76.23	11.9

10.
# InAg2S3
Calculated powder X-ray diffraction pattern, copper Kα. Input: DFT lattice parameters and positions (PBE).
No peak broadening, texture or thermal motion is included.

Cell and atoms:
Lattice parameters (Å, degrees): 13.6387 7.1059 13.0121 79.47 30.81 69.72
Sites, in units of the cell vectors:
In (0.0731, 0.4269, 0.0920)
In (0.1580, 0.8420, 0.1769)
In (0.4269, 0.0731, 0.4080)
In (0.8420, 0.1580, 0.8231)
Ag (0.2456, 0.2456, 0.2544)
Ag (0.3317, 0.6754, 0.3351)
Ag (0.4991, 0.4991, 0.5009)
Ag (0.5922, 0.9149, 0.5746)
Ag (0.6754, 0.3317, 0.6578)
Ag (0.7491, 0.7491, 0.7509)
Ag (0.9149, 0.5922, 0.9183)
Ag (0.9956, 0.9956, 0.0044)
S (0.0490, 0.2054, 0.7820)
S (0.1261, 0.6220, 0.8745)
S (0.2054, 0.0490, 0.9635)
S (0.2865, 0.4680, 0.0446)
S (0.3755, 0.8727, 0.1239)
S (0.4680, 0.2865, 0.2010)
S (0.5452, 0.7015, 0.2894)
S (0.6220, 0.1261, 0.3773)
S (0.7015, 0.5452, 0.4638)
S (0.7862, 0.9606, 0.5485)
S (0.8727, 0.3755, 0.6280)
S (0.9606, 0.7862, 0.7048)

The 6 most intense peaks (2θ = 15–90°), in order of falling intensity:
two_theta	intensity
26.57	100.0
44.11	36.9
52.17	28.8
44.03	18.5
30.74	15.6
52.32	14.3

11.
# In3AgS4
Calculated powder X-ray diffraction pattern, copper Kα. Input: DFT lattice parameters and positions (PBE).
No peak broadening, texture or thermal motion is included.

Cell and atoms:
Lattice parameters (Å, degrees): 7.8784 7.8784 7.8784 137.07 137.07 62.33
Sites, in units of the cell vectors:
In (0.0000, 0.0000, 0.0000)
In (0.2500, 0.7500, 0.5000)
In (0.7500, 0.2500, 0.5000)
Ag (0.5000, 0.5000, 0.0000)
S (0.1333, 0.1333, 0.5479)
S (0.4146, 0.8667, 0.0000)
S (0.5854, 0.5854, 0.4521)
S (0.8667, 0.4146, 0.0000)

The 6 most intense peaks (2θ = 15–90°), in order of falling intensity:
two_theta	intensity
25.53	100.0
41.20	39.5
51.95	26.9
46.12	19.3
44.44	16.0
31.02	14.7

12.
# InAgSeS
Calculated powder X-ray diffraction pattern, copper Kα. Input: DFT lattice parameters and positions (PBE).
No peak broadening, texture or thermal motion is included.

Cell and atoms:
Lattice parameters (Å, degrees): 7.2756 7.2756 7.2756 131.31 130.39 72.06
Sites, in units of the cell vectors:
In (0.1266, 0.3766, 0.7500)
In (0.3734, 0.1234, 0.2500)
Ag (0.6403, 0.8903, 0.7500)
Ag (0.8597, 0.6097, 0.2500)
Se (0.2500, 0.9958, 0.7458)
Se (0.7500, 0.5042, 0.7542)
S (0.0171, 0.2500, 0.2671)
S (0.4829, 0.7500, 0.2329)

The 6 most intense peaks (2θ = 15–90°), in order of falling intensity:
two_theta	intensity
25.74	100.0
42.24	23.3
42.68	21.5
43.07	21.0
49.79	15.6
50.47	15.2